(1)
Diffraction record for Pa2Zn2Tc3. The powder diffractogram is computed, not measured: it uses a crystal structure in Alexandria, relaxed with PBE and Cu Kα (weighted mean of Kα1 and Kα2).
No peak broadening, texture or thermal motion is included.

abc: 6.7668 6.7668 4.8562
angles: 90.80 90.80 39.78
Sites, in units of the cell vectors:
1 Pa 0.1433 0.1433 0.3988
2 Pa 0.8567 0.8567 0.6012
3 Zn 0.4037 0.4037 0.1019
4 Zn 0.5963 0.5963 0.8981
5 Tc 0.0000 0.0000 0.0000
6 Tc 0.2055 0.2055 0.8665
7 Tc 0.7945 0.7945 0.1335

The 10 most intense peaks (5 to 70 degrees two-theta), most intense first:
2θ/deg	d/Å	Rel. int.
33.97	2.639	100
20.51	4.330	68
28.61	3.120	53
39.13	2.302	52
45.00	2.015	43
42.79	2.113	36
39.94	2.257	35
27.67	3.224	28
57.15	1.612	25
39.53	2.280	19



(2)
Diffraction record for ErPd6Pt6. The powder diffractogram is computed, not measured: it uses a crystal structure in Alexandria, relaxed with PBE and Cu Kα (weighted mean of Kα1 and Kα2).
No peak broadening, texture or thermal motion is included.

abc: 6.9682 6.9682 6.9682
angles: 135.17 99.09 97.63
Sites, in units of the cell vectors:
1 Er 0.0000 0.0000 0.0000
2 Pd 0.1955 0.6955 0.5000
3 Pd 0.3430 0.0000 0.3430
4 Pd 0.3452 0.3452 0.0000
5 Pd 0.6548 0.6548 0.0000
6 Pd 0.6570 0.0000 0.6570
7 Pd 0.8045 0.3045 0.5000
8 Pt 0.0000 0.0000 0.5000
9 Pt 0.0000 0.5000 0.0000
10 Pt 0.2293 0.5000 0.7293
11 Pt 0.5000 0.0000 0.0000
12 Pt 0.5000 0.5000 0.5000
13 Pt 0.7707 0.5000 0.2707

The 10 most intense peaks (5 to 70 degrees two-theta), most intense first:
2θ/deg	d/Å	Rel. int.
39.21	2.297	100
44.19	2.050	94
39.37	2.288	84
39.88	2.261	43
19.63	4.521	40
44.27	2.046	37
57.17	1.611	32
39.59	2.276	27
44.68	2.028	25
27.68	3.223	17



(3)
Diffraction record for LaY6Er12. The powder diffractogram is computed, not measured: it uses a crystal structure in Alexandria, relaxed with PBE and Cu Kα (weighted mean of Kα1 and Kα2).
No peak broadening, texture or thermal motion is included.

abc: 8.7922 8.7922 8.7922
angles: 98.90 98.90 98.90
Sites, in units of the cell vectors:
1 La 0.0000 0.0000 0.0000
2 Y 0.2060 0.2060 0.7386
3 Y 0.2060 0.7386 0.2060
4 Y 0.2614 0.7940 0.7940
5 Y 0.7386 0.2060 0.2060
6 Y 0.7940 0.2614 0.7940
7 Y 0.7940 0.7940 0.2614
8 Er 0.1183 0.5000 0.8817
9 Er 0.1183 0.8817 0.5000
10 Er 0.1839 0.4703 0.4703
11 Er 0.4703 0.1839 0.4703
12 Er 0.4703 0.4703 0.1839
13 Er 0.5000 0.1183 0.8817
14 Er 0.5000 0.8817 0.1183
15 Er 0.5297 0.5297 0.8161
16 Er 0.5297 0.8161 0.5297
17 Er 0.8161 0.5297 0.5297
18 Er 0.8817 0.1183 0.5000
19 Er 0.8817 0.5000 0.1183

The 10 most intense peaks (5 to 70 degrees two-theta), most intense first:
2θ/deg	d/Å	Rel. int.
28.70	3.111	100
31.43	2.847	71
34.08	2.631	38
24.96	3.567	32
49.23	1.851	26
13.25	6.681	19
41.55	2.173	19
57.63	1.599	17
32.25	2.776	17
29.26	3.052	17



(4)
Diffraction record for K3ClO. The powder diffractogram is computed, not measured: it uses a crystal structure in Alexandria, relaxed with PBE and Cu Kα (weighted mean of Kα1 and Kα2).
No peak broadening, texture or thermal motion is included.

abc: 7.7586 7.7586 8.5275
angles: 96.11 96.11 37.49
Sites, in units of the cell vectors:
1 K 0.0480 0.0480 0.1788
2 K 0.1602 0.1602 0.6297
3 K 0.3226 0.3226 0.0120
4 K 0.6774 0.6774 0.9880
5 K 0.8398 0.8398 0.3703
6 K 0.9520 0.9520 0.8212
7 Cl 0.3709 0.3709 0.6145
8 Cl 0.6291 0.6291 0.3855
9 O 0.1301 0.1301 0.9172
10 O 0.8699 0.8699 0.0828

The 10 most intense peaks (5 to 70 degrees two-theta), most intense first:
2θ/deg	d/Å	Rel. int.
28.83	3.097	100
38.24	2.354	90
36.03	2.493	72
25.46	3.498	58
36.48	2.463	47
21.89	4.060	44
24.38	3.650	40
31.93	2.803	29
32.68	2.740	28
26.88	3.316	27